# 1
Simulated PXRD pattern of Tb2AlZn6 for Cu Kα, from a structure optimized by DFT (GGA-PBE).
Peak positions follow from Bragg's law for the DFT cell and can differ from measured ones.

Structural model:
abc: 5.764 5.764 5.869
angles: 91.39 91.39 58.07
Fractional coordinates of all 9 atoms:
Tb: 0.167 0.167 0.143
Tb: 0.833 0.833 0.857
Al: 0.500 0.500 0.000
Zn: 0.148 0.679 0.336
Zn: 0.317 0.317 0.653
Zn: 0.321 0.852 0.664
Zn: 0.679 0.148 0.336
Zn: 0.683 0.683 0.347
Zn: 0.852 0.321 0.664

Largest 10 diffraction maxima, by angle, 10 to 80 degrees two-theta:
Position (°2θ)  d_spacing  I/Imax
23.54  3.779  53
34.37  2.610  36
35.00  2.563  73
35.50  2.528  78
35.90  2.502  100
36.75  2.446  45
38.50  2.338  40
39.32  2.292  45
39.74  2.268  89
40.14  2.247  59



# 2
Simulated PXRD pattern of LaPd2 for Cu Kα, from a structure optimized by DFT (GGA-PBE).
Peak positions follow from Bragg's law for the DFT cell and can differ from measured ones.

Structural model:
abc: 5.525 5.525 5.860
angles: 90.00 90.00 133.66
Fractional coordinates of all 6 atoms:
La: 0.178 0.822 0.750
La: 0.822 0.178 0.250
Pd: 0.111 0.889 0.250
Pd: 0.500 0.500 0.000
Pd: 0.500 0.500 0.500
Pd: 0.889 0.111 0.750

Largest 10 diffraction maxima, by angle, 10 to 80 degrees two-theta:
Position (°2θ)  d_spacing  I/Imax
33.55  2.671  98
35.37  2.538  30
36.98  2.431  26
38.08  2.363  100
38.64  2.330  22
41.54  2.174  39
47.37  1.919  25
64.81  1.439  19
70.24  1.340  16
73.76  1.284  19



# 3
Simulated PXRD pattern of CsBeZnH2 for Cu Kα, from a structure optimized by DFT (GGA-PBE).
Peak positions follow from Bragg's law for the DFT cell and can differ from measured ones.

Structural model:
abc: 3.881 6.103 4.387
angles: 90.00 116.21 90.00
Fractional coordinates of all 5 atoms:
Cs: 0.000 0.000 0.000
Be: 0.231 0.500 0.465
Zn: 0.547 0.500 0.093
H: 0.349 0.312 0.699
H: 0.349 0.688 0.699

Largest 10 diffraction maxima, by angle, 10 to 80 degrees two-theta:
Position (°2θ)  d_spacing  I/Imax
22.59  3.936  43
26.96  3.308  12
29.27  3.052  27
29.54  3.024  100
37.29  2.412  24
44.23  2.048  29
52.07  1.756  20
52.58  1.740  9
61.32  1.512  11
62.53  1.485  10



# 4
Simulated PXRD pattern of ErTh4Te8 for Cu Kα, from a structure optimized by DFT (GGA-PBE).
Peak positions follow from Bragg's law for the DFT cell and can differ from measured ones.

Structural model:
abc: 8.945 8.945 8.945
angles: 60.00 60.00 60.00
Fractional coordinates of all 13 atoms:
Er: 0.000 0.000 0.000
Th: 0.390 0.390 0.390
Th: 0.390 0.390 0.830
Th: 0.390 0.830 0.390
Th: 0.830 0.390 0.390
Te: 0.094 0.635 0.635
Te: 0.134 0.134 0.134
Te: 0.134 0.134 0.599
Te: 0.134 0.599 0.134
Te: 0.599 0.134 0.134
Te: 0.635 0.094 0.635
Te: 0.635 0.635 0.094
Te: 0.635 0.635 0.635

Largest 10 diffraction maxima, by angle, 10 to 80 degrees two-theta:
Position (°2θ)  d_spacing  I/Imax
12.12  7.304  36
23.32  3.814  66
28.22  3.163  98
30.81  2.902  23
34.74  2.582  27
36.92  2.435  43
40.33  2.236  100
49.95  1.826  22
66.06  1.414  22
73.32  1.291  24



# 5
Simulated PXRD pattern of CaCdOs2 for Cu Kα, from a structure optimized by DFT (GGA-PBE).
Peak positions follow from Bragg's law for the DFT cell and can differ from measured ones.

Structural model:
abc: 2.954 2.954 8.704
angles: 90.00 90.00 90.00
Fractional coordinates of all 4 atoms:
Ca: 0.000 0.000 0.000
Cd: 0.500 0.500 0.314
Os: 0.000 0.000 0.563
Os: 0.500 0.500 0.737

Largest 10 diffraction maxima, by angle, 10 to 80 degrees two-theta:
Position (°2θ)  d_spacing  I/Imax
10.16  8.704  100
36.77  2.444  78
43.31  2.089  31
43.73  2.070  28
44.61  2.031  12
61.54  1.507  8
62.92  1.477  10
70.41  1.337  8
75.15  1.264  19
79.76  1.202  10



# 6
Simulated PXRD pattern of Ce3Sb2Rh7 for Cu Kα, from a structure optimized by DFT (GGA-PBE).
Peak positions follow from Bragg's law for the DFT cell and can differ from measured ones.

Structural model:
abc: 13.981 13.981 4.118
angles: 90.00 90.00 162.86
Fractional coordinates of all 12 atoms:
Ce: 0.000 0.000 0.000
Ce: 0.185 0.815 0.000
Ce: 0.815 0.185 0.000
Sb: 0.372 0.628 0.500
Sb: 0.628 0.372 0.500
Rh: 0.073 0.927 0.500
Rh: 0.279 0.721 0.500
Rh: 0.427 0.573 0.000
Rh: 0.500 0.500 0.500
Rh: 0.573 0.427 0.000
Rh: 0.721 0.279 0.500
Rh: 0.927 0.073 0.500

Largest 10 diffraction maxima, by angle, 10 to 80 degrees two-theta:
Position (°2θ)  d_spacing  I/Imax
32.06  2.791  30
33.86  2.647  22
34.66  2.588  100
38.25  2.353  41
41.98  2.152  24
42.65  2.120  43
43.43  2.084  42
43.98  2.059  41
62.42  1.488  14
63.52  1.465  27



# 7
Simulated PXRD pattern of BiBO4 for Cu Kα, from a structure optimized by DFT (GGA-PBE).
Peak positions follow from Bragg's law for the DFT cell and can differ from measured ones.

Structural model:
abc: 6.646 6.646 6.646
angles: 139.67 139.67 58.35
Fractional coordinates of all 12 atoms:
Bi: 0.375 0.125 0.250
Bi: 0.625 0.875 0.750
B: 0.125 0.375 0.750
B: 0.875 0.625 0.250
O: 0.068 0.685 0.861
O: 0.185 0.823 0.617
O: 0.294 0.432 0.117
O: 0.323 0.206 0.639
O: 0.677 0.794 0.361
O: 0.706 0.568 0.883
O: 0.815 0.177 0.383
O: 0.932 0.315 0.139

Largest 10 diffraction maxima, by angle, 10 to 80 degrees two-theta:
Position (°2θ)  d_spacing  I/Imax
20.84  4.262  95
30.23  2.956  34
30.82  2.902  23
31.63  2.829  100
43.71  2.071  23
44.92  2.018  38
50.39  1.811  30
50.78  1.798  28
55.31  1.661  20
66.51  1.406  24



# 8
Simulated PXRD pattern of CaScSi2 for Cu Kα, from a structure optimized by DFT (GGA-PBE).
Peak positions follow from Bragg's law for the DFT cell and can differ from measured ones.

Structural model:
abc: 4.836 4.836 5.837
angles: 110.97 110.97 46.27
Fractional coordinates of all 4 atoms:
Ca: 0.000 0.000 0.000
Sc: 0.500 0.500 0.500
Si: 0.244 0.244 0.642
Si: 0.756 0.756 0.358

Largest 10 diffraction maxima, by angle, 10 to 80 degrees two-theta:
Position (°2θ)  d_spacing  I/Imax
16.49  5.377  29
28.37  3.146  15
31.93  2.803  35
33.08  2.708  100
33.33  2.688  16
38.72  2.326  68
43.94  2.061  14
44.22  2.048  25
47.87  1.900  20
54.74  1.677  14